Entry 1:
This entry pairs a crystal structure of Cu7Te2S2O20 with its theoretical powder X-ray diffraction pattern. Radiation: Cu Ka. Structure: a PBE-relaxed structure.
Intensities are scaled so that the largest is 100.

Crystal structure
abc: 7.050 7.625 7.932
angles: 80.46 77.53 86.09
Space group P-1 (No. 2)
One atom of each set of equivalent atoms:
Cu 0.000 0.000 0.000 (multiplicity 1)
Cu 0.000 0.500 0.500 (multiplicity 1)
Cu 0.248 0.463 0.736 (multiplicity 2)
Cu 0.379 0.815 0.804 (multiplicity 2)
Cu 0.500 0.500 0.000 (multiplicity 1)
Te 0.127 0.192 0.244 (multiplicity 2)
S 0.408 0.807 0.344 (multiplicity 2)
O 0.002 0.431 0.277 (multiplicity 2)
O 0.132 0.924 0.792 (multiplicity 2)
O 0.168 0.176 0.000 (multiplicity 2)
O 0.199 0.797 0.349 (multiplicity 2)
O 0.203 0.365 0.556 (multiplicity 2)
O 0.281 0.588 0.909 (multiplicity 2)
O 0.382 0.320 0.175 (multiplicity 2)
O 0.455 0.805 0.513 (multiplicity 2)
O 0.477 0.972 0.216 (multiplicity 2)
O 0.497 0.354 0.738 (multiplicity 2)

Largest 8 diffraction maxima, sorted by position, 2θ from 10° to 80°:
- 4.989 Å, 2θ = 17.8°, I 64, hkl 0 1 -1
- 4.092 Å, 2θ = 21.7°, I 24, hkl -1 1 1
- 3.834 Å, 2θ = 23.2°, I 100, hkl 1 1 -1
- 3.645 Å, 2θ = 24.4°, I 23, hkl 0 1 2
- 3.088 Å, 2θ = 28.9°, I 35, hkl 2 -1 0
- 2.505 Å, 2θ = 35.8°, I 23, hkl 0 3 0
- 2.496 Å, 2θ = 36.0°, I 25, hkl 2 -2 0
- 2.460 Å, 2θ = 36.5°, I 21, hkl 2 2 2

Entry 2:
This entry pairs a crystal structure of Ho2V2GaRu5 with its theoretical powder X-ray diffraction pattern. Radiation: Cu Ka. Structure: a PBE-relaxed structure.
Intensities are scaled so that the largest is 100.

Crystal structure
abc: 10.209 10.209 3.193
angles: 90.00 90.00 90.00
Space group P4/mbm (No. 127)
One atom of each set of equivalent atoms:
Ho 0.173 0.327 0.000 (multiplicity 4)
V 0.129 0.629 0.000 (multiplicity 4)
Ga 0.000 0.000 0.000 (multiplicity 2)
Ru 0.000 0.500 0.500 (multiplicity 2)
Ru 0.065 0.798 0.500 (multiplicity 8)

Largest 8 diffraction maxima, sorted by position, 2θ from 10° to 80°:
- 2.616 Å, 2θ = 34.3°, I 40, hkl 2 1 1
- 2.476 Å, 2θ = 36.3°, I 71, hkl 4 1 0
- 2.406 Å, 2θ = 37.4°, I 31, hkl 3 3 0
- 2.391 Å, 2θ = 37.6°, I 21, hkl 2 2 1
- 2.283 Å, 2θ = 39.5°, I 19, hkl 4 2 0
- 2.270 Å, 2θ = 39.7°, I 100, hkl 3 1 1
- 2.118 Å, 2θ = 42.7°, I 28, hkl 3 2 1
- 1.342 Å, 2θ = 70.1°, I 22, hkl 4 1 2

Entry 3:
This entry pairs a crystal structure of TmCu3O4 with its theoretical powder X-ray diffraction pattern. Radiation: Cu Ka. Structure: a PBE-relaxed structure.
Intensities are scaled so that the largest is 100.

Crystal structure
abc: 5.606 5.606 5.606
angles: 90.00 90.00 90.00
Space group Pm-3n (No. 223)
One atom of each set of equivalent atoms:
Tm 0.000 0.000 0.000 (multiplicity 2)
Cu 0.000 0.250 0.500 (multiplicity 6)
O 0.250 0.250 0.250 (multiplicity 8)

Largest 8 diffraction maxima, sorted by position, 2θ from 10° to 80°:
- 3.964 Å, 2θ = 22.4°, I 36, hkl 1 1 0
- 2.803 Å, 2θ = 31.9°, I 22, hkl 2 0 0
- 2.507 Å, 2θ = 35.8°, I 45, hkl 2 1 0
- 2.289 Å, 2θ = 39.4°, I 100, hkl 2 1 1
- 1.982 Å, 2θ = 45.8°, I 15, hkl 2 2 0
- 1.555 Å, 2θ = 59.4°, I 9, hkl 3 2 0
- 1.498 Å, 2θ = 61.9°, I 52, hkl 3 2 1
- 1.402 Å, 2θ = 66.7°, I 16, hkl 4 0 0

Entry 4:
This entry pairs a crystal structure of Hf2Be16Ni with its theoretical powder X-ray diffraction pattern. Radiation: Cu Ka. Structure: a PBE-relaxed structure.
Intensities are scaled so that the largest is 100.

Crystal structure
abc: 7.5192 7.5192 10.9424
angles: 90.00 90.00 120.00
Space group R3m (No. 160, hexagonal axes)
One atom of each set of equivalent atoms:
Hf 0.0000 0.0000 0.0000 (multiplicity 3)
Hf 0.0000 0.0000 0.3196 (multiplicity 3)
Be 0.0000 0.0000 0.5587 (multiplicity 3)
Be 0.0001 0.2849 0.6613 (multiplicity 18)
Be 0.0005 0.5002 0.5026 (multiplicity 9)
Be 0.0016 0.5008 0.8169 (multiplicity 9)
Be 0.1672 0.3343 0.4933 (multiplicity 9)
Ni 0.0000 0.0000 0.7565 (multiplicity 3)

Largest 8 diffraction maxima, sorted by position, 2θ from 10° to 80°:
- 5.596 Å, 2θ = 15.8°, I 26, hkl 1 0 1
- 3.760 Å, 2θ = 23.7°, I 100, hkl 1 1 0
- 3.647 Å, 2θ = 24.4°, I 21, hkl 0 0 3
- 2.618 Å, 2θ = 34.3°, I 60, hkl 1 1 3
- 2.522 Å, 2θ = 35.6°, I 18, hkl 1 0 4
- 2.171 Å, 2θ = 41.6°, I 29, hkl 3 0 0
- 1.880 Å, 2θ = 48.4°, I 21, hkl 2 2 0
- 1.865 Å, 2θ = 48.8°, I 28, hkl 3 0 3

Entry 5:
This entry pairs a crystal structure of Sn2PbSe2S with its theoretical powder X-ray diffraction pattern. Radiation: Cu Ka. Structure: a PBE-relaxed structure.
Intensities are scaled so that the largest is 100.

Crystal structure
abc: 6.034 18.135 6.048
angles: 90.00 90.00 90.00
Space group Fmm2 (No. 42)
One atom of each set of equivalent atoms:
Sn 0.000 0.163 0.000 (multiplicity 8)
Pb 0.000 0.000 0.505 (multiplicity 4)
Se 0.000 0.169 0.486 (multiplicity 8)
S 0.000 0.000 0.993 (multiplicity 4)

Largest 8 diffraction maxima, sorted by position, 2θ from 10° to 80°:
- 3.488 Å, 2θ = 25.5°, I 30, hkl 1 3 1
- 3.021 Å, 2θ = 29.6°, I 100, hkl 2 0 0
- 2.136 Å, 2θ = 42.3°, I 76, hkl 2 6 0
- 1.822 Å, 2θ = 50.1°, I 17, hkl 1 3 3
- 1.744 Å, 2θ = 52.5°, I 27, hkl 2 6 2
- 1.352 Å, 2θ = 69.5°, I 23, hkl 2 12 0
- 1.350 Å, 2θ = 69.7°, I 12, hkl 4 6 0
- 1.234 Å, 2θ = 77.3°, I 17, hkl 2 12 2

Entry 6:
This entry pairs a crystal structure of KPmCdSn with its theoretical powder X-ray diffraction pattern. Radiation: Cu Ka. Structure: a PBE-relaxed structure.
Intensities are scaled so that the largest is 100.

Crystal structure
abc: 7.886 7.886 7.886
angles: 90.00 90.00 90.00
Space group F-43m (No. 216)
One atom of each set of equivalent atoms:
K 0.000 0.000 0.000 (multiplicity 4)
Pm 0.000 0.000 0.500 (multiplicity 4)
Cd 0.250 0.250 0.250 (multiplicity 4)
Sn 0.250 0.250 0.750 (multiplicity 4)

Largest 8 diffraction maxima, sorted by position, 2θ from 10° to 80°:
- 4.553 Å, 2θ = 19.5°, I 14, hkl 1 1 1
- 2.788 Å, 2θ = 32.1°, I 100, hkl 2 2 0
- 2.378 Å, 2θ = 37.8°, I 8, hkl 3 1 1
- 1.971 Å, 2θ = 46.0°, I 18, hkl 4 0 0
- 1.809 Å, 2θ = 50.4°, I 4, hkl 3 3 1
- 1.610 Å, 2θ = 57.2°, I 38, hkl 4 2 2
- 1.394 Å, 2θ = 67.1°, I 12, hkl 4 4 0
- 1.247 Å, 2θ = 76.4°, I 16, hkl 6 2 0

Entry 7:
This entry pairs a crystal structure of La3Se3O with its theoretical powder X-ray diffraction pattern. Radiation: Cu Ka. Structure: a PBE-relaxed structure.
Intensities are scaled so that the largest is 100.

Crystal structure
abc: 12.355 4.233 13.633
angles: 90.00 90.00 90.00
Space group Pnma (No. 62)
One atom of each set of equivalent atoms:
La 0.026 0.250 0.159 (multiplicity 4)
La 0.102 0.250 0.613 (multiplicity 4)
La 0.238 0.250 0.872 (multiplicity 4)
Se 0.072 0.250 0.389 (multiplicity 4)
Se 0.145 0.750 0.011 (multiplicity 4)
Se 0.231 0.750 0.713 (multiplicity 4)
O 0.055 0.250 0.803 (multiplicity 4)

Largest 8 diffraction maxima, sorted by position, 2θ from 10° to 80°:
- 3.525 Å, 2θ = 25.3°, I 52, hkl 3 0 2
- 3.408 Å, 2θ = 26.1°, I 53, hkl 0 0 4
- 3.006 Å, 2θ = 29.7°, I 66, hkl 1 1 3
- 2.885 Å, 2θ = 31.0°, I 100, hkl 3 1 1
- 2.769 Å, 2θ = 32.3°, I 48, hkl 2 1 3
- 2.495 Å, 2θ = 36.0°, I 41, hkl 4 1 0
- 2.439 Å, 2θ = 36.9°, I 94, hkl 2 1 4
- 2.116 Å, 2θ = 42.7°, I 68, hkl 0 2 0

Entry 8:
This entry pairs a crystal structure of Sm4Ga3Cu with its theoretical powder X-ray diffraction pattern. Radiation: Cu Ka. Structure: a PBE-relaxed structure.
Intensities are scaled so that the largest is 100.

Crystal structure
abc: 4.242 4.328 10.870
angles: 90.00 90.00 90.00
Space group Pmm2 (No. 25)
One atom of each set of equivalent atoms:
Sm 0.000 0.000 0.000 (multiplicity 1)
Sm 0.000 0.500 0.485 (multiplicity 1)
Sm 0.500 0.000 0.706 (multiplicity 1)
Sm 0.500 0.500 0.210 (multiplicity 1)
Ga 0.000 0.500 0.776 (multiplicity 1)
Ga 0.500 0.000 0.418 (multiplicity 1)
Ga 0.500 0.500 0.925 (multiplicity 1)
Cu 0.000 0.000 0.285 (multiplicity 1)

Largest 8 diffraction maxima, sorted by position, 2θ from 10° to 80°:
- 3.344 Å, 2θ = 26.7°, I 26, hkl 1 0 2
- 2.918 Å, 2θ = 30.6°, I 100, hkl 1 1 1
- 2.778 Å, 2θ = 32.2°, I 45, hkl 0 1 3
- 2.718 Å, 2θ = 33.0°, I 21, hkl 0 0 4
- 2.324 Å, 2θ = 38.7°, I 45, hkl 1 1 3
- 2.164 Å, 2θ = 41.7°, I 24, hkl 0 2 0
- 2.121 Å, 2θ = 42.6°, I 23, hkl 2 0 0
- 1.686 Å, 2θ = 54.4°, I 21, hkl 2 1 3

What is the formula in the first record? Cu7Te2S2O20